Structure and theoretical X-ray powder pattern of KHg2Se2 (DFT lattice parameters and positions (GGA-PBE); Cu Kα (λ = 1.5418 Å)).

Largest 10 diffraction maxima, most intense first, 2θ = 10–90°:
2theta, Rel. int.
28.5, 100
14.1, 81
44.7, 66
29.3, 65
22.7, 47
34.4, 29
34.1, 28
46.3, 27
60.8, 25
52.5, 21

Crystal structure
Unit cell a=8.651 b=8.651 c=8.651 alpha=132.48 beta=132.48 gamma=69.47
Fractional coordinates of all 10 atoms:
K (0.375, 0.625, 0.750)
K (0.625, 0.375, 0.250)
Hg (0.000, 0.000, 0.000)
Hg (0.000, 0.000, 0.500)
Hg (0.000, 0.500, 0.000)
Hg (0.500, 0.000, 0.500)
Se (0.135, 0.385, 0.750)
Se (0.385, 0.135, 0.250)
Se (0.615, 0.865, 0.750)
Se (0.865, 0.615, 0.250)